Fe5O4F8: calculated PXRD pattern (Cu Kα (λ = 1.5418 Å)), based on a structure optimized by DFT (GGA+U).
Intensities are scaled so that the largest is 100.

Peak list (8 most intense, 2θ = 10–80°, in order of rising 2θ)
| d [Å] | I_rel |
| --- | --- |
| 3.411 | 97 |
| 3.199 | 100 |
| 2.511 | 93 |
| 2.180 | 39 |
| 1.740 | 63 |
| 1.706 | 26 |
| 1.681 | 58 |
| 1.379 | 46 |

```
17
Lattice="3.199 -3.411 0.000 3.199 3.411 0.000 0.000 0.000 8.937" Properties=species:S:1:pos:R:3 pbc="T T T"
Fe 0.000 0.000 0.000
Fe 0.000 0.000 2.923
Fe 0.000 0.000 6.015
Fe 3.199 0.000 1.615
Fe 3.199 0.000 7.322
O 1.259 0.000 1.380
O 1.259 0.000 7.558
O 5.138 0.000 1.380
O 5.138 0.000 7.558
F 1.240 0.000 4.469
F 3.199 1.424 2.907
F 3.199 1.424 6.030
F 3.199 1.419 0.000
F 3.199 -1.419 0.000
F 3.199 -1.424 2.907
F 3.199 -1.424 6.030
F 5.157 0.000 4.469
```